[1]
Theoretical powder diffraction line list of Th2TlZnTc for Cu Kα, from a structure optimized by DFT (GGA-PBE).
No peak broadening, texture or thermal motion is included.

The 8 most intense peaks (2θ = 15–90°), sorted by position:
index	2θ/deg	intensity
2 0 1	29.33	82
1 1 -2	31.21	100
0 1 2	31.99	71
2 1 -2	34.72	64
0 0 3	34.83	72
2 1 1	36.91	60
3 1 -1	39.94	53
0 2 0	44.68	56

Atomic structure:
```
Th2TlZnTc
1.0
8.1507 0.0000 0.0000
0.0000 4.0561 0.0000
-2.8011 0.0000 7.7288
Th Tl Zn Tc
4 2 2 2
Cartesian
-0.1030 1.0140 2.6235
-0.4772 1.0140 7.6415
5.8268 3.0421 0.0873
5.4526 3.0421 5.1053
0.7107 3.0421 5.2368
4.6388 1.0140 2.4920
2.5537 3.0421 2.7735
2.7959 1.0140 4.9553
0.7495 3.0421 0.8613
4.6001 1.0140 6.8675
```


[2]
Theoretical powder diffraction line list of Tm2ThTc for Cu Kα, from a structure optimized by DFT (GGA-PBE).
No peak broadening, texture or thermal motion is included.

The 8 most intense peaks (2θ = 15–90°), sorted by position:
index	2θ/deg	intensity
2 1 1	29.79	56
1 0 2	30.87	55
2 2 0	31.02	56
0 3 1	32.01	100
1 1 2	32.35	81
2 2 1	34.21	77
1 3 1	34.34	58
1 2 3	49.10	40

Atomic structure:
```
Tm2ThTc
1.0
7.3200 0.0000 0.0000
0.0000 9.3557 0.0000
0.0000 0.0000 6.3092
Tm Th Tc
8 4 4
Cartesian
1.2784 0.6198 1.0525
1.2784 4.0580 1.0525
2.3816 5.2977 4.2071
2.3816 8.7359 4.2071
4.9383 0.6198 2.1021
4.9383 4.0580 2.1021
6.0416 5.2977 5.2568
6.0416 8.7359 5.2568
0.3483 2.3389 4.0250
3.3117 7.0168 0.8704
4.0082 2.3389 5.4389
6.9717 7.0168 2.2843
0.9444 7.0168 6.1866
2.7156 2.3389 3.0320
4.6044 7.0168 3.2772
6.3755 2.3389 0.1226
```